# 1
Computed XRD peak list of Sc4Pd4Pt5 for Cu Kα X-rays, from a DFT-relaxed cell (GGA-PBE, Alexandria).
Peak positions follow from Bragg's law for the DFT cell and can differ from measured ones.

Top 8 peaks for 5° ≤ 2θ ≤ 70°, sorted by position:
d_spacing	Rel. int.
7.301	11
5.163	9
3.265	10
3.047	10
2.339	100
2.131	9
2.026	48
1.433	29

Crystal structure
```
data_Sc4Pd4Pt5
_chemical_formula_sum 'Sc4 Pd4 Pt5'
_space_group_name_H-M_alt 'P 1'
_space_group_IT_number 1
_cell_length_a 7.578
_cell_length_b 7.578
_cell_length_c 7.578
_cell_angle_alpha 94.11
_cell_angle_beta 94.11
_cell_angle_gamma 148.95
loop_
_space_group_symop_operation_xyz
'x,y,z'
loop_
_atom_site_label
_atom_site_type_symbol
_atom_site_fract_x
_atom_site_fract_y
_atom_site_fract_z
Sc1 Sc 0.129 0.232 0.361
Sc2 Sc 0.232 0.871 0.102
Sc3 Sc 0.768 0.129 0.898
Sc4 Sc 0.871 0.768 0.639
Pd1 Pd 0.086 0.613 0.699
Pd2 Pd 0.387 0.086 0.472
Pd3 Pd 0.613 0.914 0.528
Pd4 Pd 0.914 0.387 0.301
Pt1 Pt 0.000 0.000 0.000
Pt2 Pt 0.309 0.443 0.752
Pt3 Pt 0.443 0.691 0.133
Pt4 Pt 0.557 0.309 0.867
Pt5 Pt 0.691 0.557 0.248
```

# 2
Computed XRD peak list of Cs2KPtBr6 for Cu Kα X-rays, from a DFT-relaxed cell (GGA-PBE, Alexandria).
Peak positions follow from Bragg's law for the DFT cell and can differ from measured ones.

Top 8 peaks for 5° ≤ 2θ ≤ 70°, sorted by position:
d_spacing	Rel. int.
6.634	80
4.048	61
3.317	78
2.892	100
2.834	46
2.045	34
2.024	64
1.658	32

Crystal structure
```
data_Cs2KPtBr6
_chemical_formula_sum 'Cs2 K1 Pt1 Br6'
_space_group_name_H-M_alt 'P 1'
_space_group_IT_number 1
_cell_length_a 8.099
_cell_length_b 8.099
_cell_length_c 8.099
_cell_angle_alpha 119.33
_cell_angle_beta 119.33
_cell_angle_gamma 91.17
loop_
_space_group_symop_operation_xyz
'x,y,z'
loop_
_atom_site_label
_atom_site_type_symbol
_atom_site_fract_x
_atom_site_fract_y
_atom_site_fract_z
Cs1 Cs 0.250 0.750 0.500
Cs2 Cs 0.750 0.250 0.500
K1 K 0.000 0.000 0.000
Pt1 Pt 0.500 0.500 0.000
Br1 Br 0.273 0.273 0.546
Br2 Br 0.273 0.727 0.000
Br3 Br 0.280 0.280 0.000
Br4 Br 0.720 0.720 0.000
Br5 Br 0.727 0.273 0.000
Br6 Br 0.727 0.727 0.454
```

# 3
Computed XRD peak list of Na2TePO11 for Cu Kα X-rays, from a DFT-relaxed cell (GGA-PBE, Alexandria).
Peak positions follow from Bragg's law for the DFT cell and can differ from measured ones.

Top 8 peaks for 5° ≤ 2θ ≤ 70°, sorted by position:
d_spacing	Rel. int.
6.846	43
5.918	29
5.435	31
5.053	100
4.635	70
4.477	91
3.495	28
3.349	61

Crystal structure
```
data_Na2TePO11
_chemical_formula_sum 'Na4 Te2 P2 O22'
_space_group_name_H-M_alt 'P 1'
_space_group_IT_number 1
_cell_length_a 5.782
_cell_length_b 13.692
_cell_length_c 6.294
_cell_angle_alpha 90.00
_cell_angle_beta 109.91
_cell_angle_gamma 90.00
loop_
_space_group_symop_operation_xyz
'x,y,z'
loop_
_atom_site_label
_atom_site_type_symbol
_atom_site_fract_x
_atom_site_fract_y
_atom_site_fract_z
Na1 Na 0.003 0.000 0.061
Na2 Na 0.188 0.299 0.352
Na3 Na 0.812 0.799 0.648
Na4 Na 0.997 0.500 0.939
Te1 Te 0.316 0.589 0.529
Te2 Te 0.684 0.089 0.471
P1 P 0.407 0.787 0.031
P2 P 0.593 0.287 0.969
O1 O 0.058 0.515 0.578
O2 O 0.093 0.630 0.225
O3 O 0.167 0.844 0.989
O4 O 0.188 0.701 0.657
O5 O 0.275 0.478 0.323
O6 O 0.335 0.903 0.344
O7 O 0.365 0.672 0.045
O8 O 0.391 0.316 0.744
O9 O 0.396 0.147 0.495
O10 O 0.426 0.037 0.209
O11 O 0.482 0.300 0.160
O12 O 0.518 0.800 0.840
O13 O 0.574 0.537 0.791
O14 O 0.604 0.647 0.505
O15 O 0.609 0.816 0.256
O16 O 0.635 0.172 0.955
O17 O 0.665 0.403 0.656
O18 O 0.725 0.978 0.677
O19 O 0.812 0.201 0.343
O20 O 0.833 0.344 0.011
O21 O 0.907 0.130 0.775
O22 O 0.942 0.015 0.422
```

# 4
Computed XRD peak list of SrSbS4 for Cu Kα X-rays, from a DFT-relaxed cell (GGA-PBE, Alexandria).
Peak positions follow from Bragg's law for the DFT cell and can differ from measured ones.

Top 8 peaks for 5° ≤ 2θ ≤ 70°, sorted by position:
d_spacing	Rel. int.
3.942	58
3.599	100
2.895	65
2.421	32
2.352	33
2.331	35
2.188	22
1.783	20

Crystal structure
```
data_SrSbS4
_chemical_formula_sum 'Sr2 Sb2 S8'
_space_group_name_H-M_alt 'P 1'
_space_group_IT_number 1
_cell_length_a 7.250
_cell_length_b 7.250
_cell_length_c 7.245
_cell_angle_alpha 113.75
_cell_angle_beta 113.75
_cell_angle_gamma 95.82
loop_
_space_group_symop_operation_xyz
'x,y,z'
loop_
_atom_site_label
_atom_site_type_symbol
_atom_site_fract_x
_atom_site_fract_y
_atom_site_fract_z
Sr1 Sr 0.124 0.876 0.750
Sr2 Sr 0.876 0.124 0.250
Sb1 Sb 0.433 0.567 0.250
Sb2 Sb 0.567 0.433 0.750
S1 S 0.104 0.546 0.310
S2 S 0.161 0.316 0.779
S3 S 0.316 0.161 0.279
S4 S 0.454 0.896 0.190
S5 S 0.546 0.104 0.810
S6 S 0.684 0.839 0.721
S7 S 0.839 0.684 0.221
S8 S 0.896 0.454 0.690
```